1.
Structure and simulated X-ray diffraction stick pattern of LaNdIr2C2N2 (a cell relaxed with PBE; copper Kα).
Neutral-atom scattering factors, no anomalous dispersion.

Cell and atoms:
```
LaNdIr2C2N2
1.0
3.799 0.000 0.000
0.000 3.799 0.000
0.000 0.000 7.554
La Nd Ir C N
1 1 2 2 2
Cartesian
0.000 0.000 0.000
1.900 1.900 4.995
0.000 1.900 2.523
1.900 0.000 2.523
0.000 0.000 3.661
1.900 1.900 1.319
0.000 0.000 5.052
1.900 1.900 7.492
```

Peak list (10 most intense, 10° ≤ 2θ ≤ 90°, in order of rising 2θ)
Position (°2θ)  d/Å  I (rel.)
11.7  7.554  72.1
26.3  3.394  33.2
33.5  2.679  24.0
35.5  2.531  100.0
35.7  2.518  40.8
41.2  2.189  73.7
47.9  1.900  39.7
59.9  1.545  23.0
61.1  1.516  34.4
81.0  1.187  18.9

2.
Structure and simulated X-ray diffraction stick pattern of SmYIr2C2N2 (a cell relaxed with PBE; copper Kα).
Neutral-atom scattering factors, no anomalous dispersion.

Cell and atoms:
```
SmYIr2C2N2
1.0
3.746 0.000 0.000
0.000 3.746 0.000
0.000 0.000 7.374
Sm Y Ir C N
1 1 2 2 2
Cartesian
0.000 0.000 0.000
1.873 1.873 4.899
0.000 1.873 2.466
1.873 0.000 2.466
0.000 0.000 3.604
1.873 1.873 1.261
0.000 0.000 4.996
1.873 1.873 7.245
```

Peak list (10 most intense, 10° ≤ 2θ ≤ 90°, in order of rising 2θ)
Position (°2θ)  d/Å  I (rel.)
12.0  7.374  87.2
26.7  3.340  24.4
34.1  2.628  18.7
36.0  2.493  100.0
36.6  2.458  36.8
42.0  2.151  69.6
48.6  1.873  36.8
61.3  1.513  23.3
62.3  1.490  31.2
82.5  1.170  18.8

3.
Structure and simulated X-ray diffraction stick pattern of Ir4CO4 (a cell relaxed with PBE; copper Kα).
Neutral-atom scattering factors, no anomalous dispersion.

Cell and atoms:
```
Ir4CO4
1.0
2.927 -4.209 0.000
2.927 4.209 0.000
0.000 0.000 10.101
Ir C O
8 2 8
Cartesian
1.289 1.344 3.300
2.927 3.667 5.051
2.927 1.390 6.525
1.289 -1.344 8.351
4.564 1.344 3.300
2.927 -1.390 1.474
2.927 -3.667 0.000
4.564 -1.344 8.351
2.927 3.292 6.946
2.927 -3.292 1.896
2.927 2.538 3.324
1.671 0.455 5.085
1.671 -0.455 0.034
2.927 0.306 2.433
2.927 -0.306 7.484
4.183 0.455 5.085
4.183 -0.455 0.034
2.927 -2.538 8.374
```

Peak list (10 most intense, 10° ≤ 2θ ≤ 90°, in order of rising 2θ)
Position (°2θ)  d/Å  I (rel.)
20.5  4.340  100.0
22.9  3.885  36.2
25.6  3.482  50.5
27.6  3.233  32.5
34.1  2.629  92.8
35.4  2.532  73.8
38.5  2.338  78.1
41.7  2.167  28.5
54.5  1.684  45.6
59.8  1.546  34.6

4.
Structure and simulated X-ray diffraction stick pattern of ScIrCO (a cell relaxed with PBE; copper Kα).
Neutral-atom scattering factors, no anomalous dispersion.

Cell and atoms:
```
ScIrCO
1.0
1.640 0.947 10.645
-1.640 0.947 10.645
0.000 -1.894 10.645
Sc Ir C O
2 2 2 2
Cartesian
0.000 0.000 0.000
0.000 0.000 15.968
0.000 0.000 7.484
0.000 0.000 24.452
0.000 0.000 3.766
0.000 0.000 28.170
0.000 0.000 9.649
0.000 0.000 22.287
```

Peak list (10 most intense, 10° ≤ 2θ ≤ 90°, in order of rising 2θ)
Position (°2θ)  d/Å  I (rel.)
16.7  5.323  44.0
25.1  3.548  36.2
32.0  2.797  57.7
33.5  2.676  100.0
38.9  2.315  44.0
44.6  2.031  31.2
49.0  1.858  26.3
56.1  1.640  32.8
58.9  1.567  30.0
72.8  1.299  19.5

5.
Structure and simulated X-ray diffraction stick pattern of Pr2Ir5C4 (a cell relaxed with PBE; copper Kα).
Neutral-atom scattering factors, no anomalous dispersion.

Cell and atoms:
```
Pr2Ir5C4
1.0
0.000 5.266 5.434
2.721 0.000 5.434
2.721 5.266 0.000
Pr Ir C
2 5 4
Cartesian
2.721 5.266 1.694
2.721 5.266 9.175
1.361 2.633 0.000
1.361 2.633 2.717
1.361 2.633 5.434
2.721 5.266 5.434
4.082 7.899 8.151
2.721 3.650 4.028
2.721 3.650 6.840
2.721 6.882 4.028
2.721 6.882 6.840
```

Peak list (10 most intense, 10° ≤ 2θ ≤ 90°, in order of rising 2θ)
Position (°2θ)  d/Å  I (rel.)
30.8  2.899  32.3
33.0  2.718  18.4
34.0  2.633  44.4
37.2  2.417  100.0
39.4  2.288  20.6
47.3  1.923  16.2
48.1  1.891  16.5
50.5  1.806  23.6
63.0  1.475  23.6
81.2  1.185  18.8

6.
Structure and simulated X-ray diffraction stick pattern of Sr2IrPtC2 (a cell relaxed with PBE; copper Kα).
Neutral-atom scattering factors, no anomalous dispersion.

Cell and atoms:
```
Sr2IrPtC2
1.0
3.855 0.000 0.000
0.000 3.873 0.000
0.000 0.000 8.113
Sr Ir Pt C
2 1 1 2
Cartesian
0.000 0.000 1.998
0.000 0.000 6.115
1.928 1.937 0.000
1.928 1.937 4.056
0.000 1.937 4.056
1.928 0.000 0.000
```

Peak list (10 most intense, 10° ≤ 2θ ≤ 90°, in order of rising 2θ)
Position (°2θ)  d/Å  I (rel.)
21.9  4.056  10.6
32.0  2.798  100.0
32.8  2.732  43.3
44.7  2.028  10.6
46.9  1.937  9.3
47.1  1.928  9.1
56.5  1.629  18.8
57.9  1.592  18.6
58.1  1.588  18.4
74.3  1.276  8.9

7.
Structure and simulated X-ray diffraction stick pattern of Ir2CSeS (a cell relaxed with PBE; copper Kα).
Neutral-atom scattering factors, no anomalous dispersion.

Cell and atoms:
```
Ir2CSeS
1.0
3.431 0.000 0.000
-1.715 2.971 0.000
0.000 0.000 8.662
Ir C Se S
2 1 1 1
Cartesian
0.000 0.000 0.000
0.000 1.981 2.104
1.715 0.990 0.697
0.000 1.981 7.017
0.000 0.000 3.322
```

Peak list (10 most intense, 10° ≤ 2θ ≤ 90°, in order of rising 2θ)
Position (°2θ)  d/Å  I (rel.)
10.2  8.662  100.0
30.1  2.971  21.9
31.8  2.811  20.3
36.7  2.450  67.3
43.7  2.071  28.7
53.4  1.715  19.3
54.5  1.683  9.5
62.0  1.497  8.4
66.5  1.405  11.9
70.0  1.345  8.7

8.
Structure and simulated X-ray diffraction stick pattern of Zr3IrC (a cell relaxed with PBE; copper Kα).
Neutral-atom scattering factors, no anomalous dispersion.

Cell and atoms:
```
Zr3IrC
1.0
1.677 -5.861 0.000
1.677 5.861 0.000
0.000 0.000 8.931
Zr Ir C
6 2 2
Cartesian
1.677 5.170 6.698
1.677 1.530 4.976
1.677 1.530 8.421
1.677 -1.530 0.510
1.677 -1.530 3.955
1.677 -5.170 2.233
1.677 2.890 2.233
1.677 -2.890 6.698
0.000 0.000 0.000
0.000 0.000 4.466
```

Peak list (10 most intense, 10° ≤ 2θ ≤ 90°, in order of rising 2θ)
Position (°2θ)  d/Å  I (rel.)
15.1  5.861  19.5
25.1  3.552  12.9
29.4  3.034  13.4
33.8  2.654  23.0
34.3  2.615  22.5
35.3  2.545  16.2
36.7  2.449  100.0
41.3  2.188  36.2
54.7  1.678  13.1
63.6  1.462  19.5

9.
Structure and simulated X-ray diffraction stick pattern of K3ReC4N4O2 (a cell relaxed with PBE; copper Kα).
Neutral-atom scattering factors, no anomalous dispersion.

Cell and atoms:
```
K3ReC4N4O2
1.0
6.388 0.000 0.000
-3.150 6.296 0.000
-0.654 -2.935 6.481
K Re C N O
3 1 4 4 2
Cartesian
0.000 0.000 0.000
-0.698 2.716 2.108
3.282 0.644 4.373
-0.327 -1.468 3.241
-0.360 -0.373 5.415
1.474 -0.808 2.336
1.110 4.168 4.145
2.944 3.733 1.066
0.692 -0.220 4.857
2.361 -0.284 1.767
0.223 3.644 4.714
1.892 3.581 1.624
-2.734 3.329 3.909
5.318 0.031 2.572
```

Peak list (10 most intense, 10° ≤ 2θ ≤ 90°, in order of rising 2θ)
Position (°2θ)  d/Å  I (rel.)
13.7  6.481  100.0
15.5  5.735  60.2
15.7  5.642  63.6
15.9  5.589  54.8
16.2  5.483  84.2
24.0  3.704  27.8
25.4  3.505  44.1
26.1  3.418  31.7
30.1  2.968  35.5
30.3  2.947  27.7

10.
Structure and simulated X-ray diffraction stick pattern of K2PdC4N4 (a cell relaxed with PBE; copper Kα).
Neutral-atom scattering factors, no anomalous dispersion.

Cell and atoms:
```
K2PdC4N4
1.0
4.246 0.000 0.000
0.000 7.838 0.000
-0.918 0.000 13.029
K Pd C N
4 2 8 8
Cartesian
0.595 0.390 4.429
0.136 3.529 10.944
3.192 4.309 2.085
2.733 7.448 8.600
2.123 0.000 0.000
1.664 3.919 6.514
1.416 1.720 0.716
0.957 2.199 7.230
0.906 4.910 8.053
1.365 6.847 1.539
1.963 0.991 11.490
2.422 2.928 4.976
2.371 5.639 5.799
1.912 6.118 12.313
0.551 1.164 7.612
1.010 2.755 1.098
0.482 5.535 8.954
0.940 6.222 2.439
2.388 1.616 10.589
2.846 2.303 4.075
2.318 5.083 11.931
2.777 6.674 5.417
```

Peak list (10 most intense, 10° ≤ 2θ ≤ 90°, in order of rising 2θ)
Position (°2θ)  d/Å  I (rel.)
13.2  6.716  55.4
13.6  6.514  40.7
21.0  4.235  28.6
22.7  3.919  22.6
23.4  3.799  88.2
25.3  3.525  100.0
33.4  2.679  47.5
35.9  2.500  21.2
40.3  2.239  21.5
41.0  2.200  24.0

11.
Structure and simulated X-ray diffraction stick pattern of K2PdC4S4N4 (a cell relaxed with PBE; copper Kα).
Neutral-atom scattering factors, no anomalous dispersion.

Cell and atoms:
```
K2PdC4S4N4
1.0
4.235 0.000 0.000
0.000 12.889 0.000
-1.610 0.000 11.026
K Pd C S N
4 2 8 8 8
Cartesian
0.886 1.859 0.317
0.081 4.586 5.829
2.544 8.303 5.196
1.739 11.030 10.709
1.313 0.000 5.513
2.118 6.444 0.000
0.796 8.442 2.252
-0.009 10.891 7.765
0.811 7.414 7.991
1.616 11.919 2.478
1.009 0.970 8.547
1.814 5.475 3.035
2.634 1.998 3.261
1.829 4.447 8.774
0.140 1.222 7.166
0.946 5.222 1.653
1.410 8.557 0.721
0.605 10.776 6.234
2.020 2.113 4.791
1.215 4.332 10.304
1.680 7.666 9.373
2.485 11.667 3.860
0.355 8.428 3.346
-0.450 10.905 8.859
0.276 7.272 6.943
1.081 12.062 1.430
1.544 0.827 9.596
2.349 5.617 4.083
3.075 1.983 2.167
2.270 4.461 7.680
```

Peak list (10 most intense, 10° ≤ 2θ ≤ 90°, in order of rising 2θ)
Position (°2θ)  d/Å  I (rel.)
10.6  8.378  100.0
13.7  6.444  26.3
16.1  5.513  39.3
21.2  4.191  39.9
22.2  4.003  20.4
24.8  3.594  52.7
28.6  3.126  32.2
33.1  2.709  25.9
35.4  2.537  22.9
37.5  2.399  25.0

12.
Structure and simulated X-ray diffraction stick pattern of K2PtC4N4 (a cell relaxed with PBE; copper Kα).
Neutral-atom scattering factors, no anomalous dispersion.

Cell and atoms:
```
K2PtC4N4
1.0
9.032 0.000 0.000
0.000 13.594 0.000
0.000 0.000 6.897
K Pt C N
8 4 16 16
Cartesian
1.303 1.368 1.447
1.303 5.429 4.896
3.212 1.368 4.896
3.212 5.429 1.447
5.819 8.166 5.449
5.819 12.226 2.001
7.728 8.166 2.001
7.728 12.226 5.449
2.258 10.196 2.805
2.258 10.196 6.253
6.774 3.399 0.644
6.774 3.399 4.092
0.362 9.604 6.276
0.362 10.787 2.827
1.728 8.283 2.781
1.728 12.108 6.230
2.788 8.283 6.230
2.788 12.108 2.781
4.153 9.604 2.827
4.153 10.787 6.276
4.878 2.807 0.621
4.878 3.990 4.070
6.244 1.486 4.116
6.244 5.311 0.667
7.303 1.486 0.667
7.303 5.311 4.116
8.669 2.807 4.070
8.669 3.990 0.621
0.762 2.466 4.035
0.762 4.332 0.587
1.420 7.150 2.724
1.420 13.241 6.173
3.095 7.150 6.173
3.095 13.241 2.724
3.754 2.466 0.587
3.754 4.332 4.035
5.278 9.263 2.861
5.278 11.129 6.310
5.936 0.353 4.173
5.936 6.444 0.724
7.611 0.353 0.724
7.611 6.444 4.173
8.270 9.263 6.310
8.270 11.129 2.861
```

Peak list (10 most intense, 10° ≤ 2θ ≤ 90°, in order of rising 2θ)
Position (°2θ)  d/Å  I (rel.)
11.8  7.523  100.0
13.0  6.797  45.7
19.7  4.516  25.8
21.9  4.050  46.5
26.7  3.343  40.9
27.7  3.222  17.5
30.4  2.939  21.9
30.7  2.911  20.0
33.3  2.687  18.2
38.5  2.338  19.0